The following is a theoretical X-ray diffraction stick pattern of AcLa6Cd. It was derived from a PBE-relaxed structure, using Cu Kα, 1.54184 Å.

Main lines, by intensity (10° ≤ 2θ ≤ 80°):
28.6°, intensity 1000, (1 -2 0); 32.7°, intensity 964, (-1 1 2); 30.8°, intensity 668, (1 1 -2); 27.3°, intensity 514, (0 2 0); 32.6°, intensity 455, (2 1 0); 27.1°, intensity 281, (1 1 1)

```
AcLa6Cd
1.0
6.661 0.000 0.000
-0.913 6.599 0.000
-0.902 -1.025 6.529
Ac La Cd
1 6 1
Cartesian
0.000 0.000 0.000 Ac
-0.504 3.394 1.782 La
1.273 -0.318 3.644 La
1.417 3.816 6.276 La
3.430 1.758 0.254 La
3.573 5.893 2.885 La
5.350 2.181 4.747 La
2.423 2.787 3.265 Cd
```